Entry 1:
The following is a computed powder XRD pattern of AlH3O3. It was derived from a structure optimized by DFT (GGA-PBE), using Cu Kα (weighted mean of Kα1 and Kα2).
Neutral-atom scattering factors, no anomalous dispersion.

Structural model:
abc: 4.8392 8.7670 5.1053
angles: 90.00 101.37 90.00
Fractional positions:
Al (0.0198, 0.1649, 0.0464)
Al (0.0198, 0.3351, 0.5464)
Al (0.9802, 0.6649, 0.4536)
Al (0.9802, 0.8351, 0.9536)
H (0.2065, 0.5440, 0.8631)
H (0.2065, 0.9560, 0.3631)
H (0.3624, 0.1158, 0.7501)
H (0.3624, 0.3842, 0.2501)
H (0.3907, 0.6887, 0.2090)
H (0.3907, 0.8113, 0.7090)
H (0.6093, 0.1887, 0.2910)
H (0.6093, 0.3113, 0.7910)
H (0.6376, 0.6158, 0.7499)
H (0.6376, 0.8842, 0.2499)
H (0.7935, 0.0440, 0.6369)
H (0.7935, 0.4560, 0.1369)
O (0.1862, 0.6708, 0.1658)
O (0.1862, 0.8292, 0.6658)
O (0.2157, 0.5170, 0.6776)
O (0.2157, 0.9830, 0.1776)
O (0.2501, 0.2013, 0.7931)
O (0.2501, 0.2987, 0.2931)
O (0.7499, 0.7013, 0.7069)
O (0.7499, 0.7987, 0.2069)
O (0.7843, 0.0170, 0.8224)
O (0.7843, 0.4830, 0.3224)
O (0.8138, 0.1708, 0.3342)
O (0.8138, 0.3292, 0.8342)

Peak list (10 most intense, 10 to 90 degrees two-theta, in order of rising 2θ)
2theta  d_spacing  Rel. int.  (hkl)
18.70  4.744  100  1 0 0
20.26  4.383  25  0 2 0
20.43  4.347  36  0 1 1
25.31  3.519  21  1 1 -1
35.10  2.557  14  1 2 1
37.17  2.419  17  1 0 -2
42.20  2.142  63  1 3 1
47.32  1.921  27  2 0 -2
55.75  1.649  18  2 3 1
66.60  1.404  16  3 3 -1

Entry 2:
The following is a computed powder XRD pattern of AlH3O3. It was derived from a structure optimized by DFT (GGA-PBE), using Cu Kα (weighted mean of Kα1 and Kα2).
Neutral-atom scattering factors, no anomalous dispersion.

Structural model:
abc: 5.2375 9.4238 8.7802
angles: 90.00 90.00 90.00
Fractional positions:
Al (0.0169, 0.0018, 0.1694)
Al (0.0169, 0.4982, 0.6694)
Al (0.4831, 0.5018, 0.1694)
Al (0.4831, 0.9982, 0.6694)
Al (0.5169, 0.0018, 0.3306)
Al (0.5169, 0.4982, 0.8306)
Al (0.9831, 0.5018, 0.3306)
Al (0.9831, 0.9982, 0.8306)
H (0.1455, 0.6987, 0.1351)
H (0.1455, 0.8013, 0.6351)
H (0.1770, 0.6947, 0.8535)
H (0.1770, 0.8053, 0.3535)
H (0.1982, 0.1139, 0.4876)
H (0.1982, 0.3861, 0.9876)
H (0.3018, 0.6139, 0.4876)
H (0.3018, 0.8861, 0.9876)
H (0.3230, 0.1947, 0.8535)
H (0.3230, 0.3053, 0.3535)
H (0.3545, 0.1987, 0.1351)
H (0.3545, 0.3013, 0.6351)
H (0.6455, 0.6987, 0.3649)
H (0.6455, 0.8013, 0.8649)
H (0.6770, 0.6947, 0.6465)
H (0.6770, 0.8053, 0.1465)
H (0.6982, 0.1139, 0.0124)
H (0.6982, 0.3861, 0.5124)
H (0.8018, 0.6139, 0.0124)
H (0.8018, 0.8861, 0.5124)
H (0.8230, 0.1947, 0.6465)
H (0.8230, 0.3053, 0.1465)
H (0.8545, 0.1987, 0.3649)
H (0.8545, 0.3013, 0.8649)
O (0.1162, 0.6175, 0.4956)
O (0.1162, 0.8825, 0.9956)
O (0.1702, 0.6043, 0.1777)
O (0.1702, 0.8957, 0.6777)
O (0.2165, 0.6037, 0.8077)
O (0.2165, 0.8963, 0.3077)
O (0.2835, 0.1037, 0.8077)
O (0.2835, 0.3963, 0.3077)
O (0.3298, 0.1043, 0.1777)
O (0.3298, 0.3957, 0.6777)
O (0.3838, 0.1175, 0.4956)
O (0.3838, 0.3825, 0.9956)
O (0.6162, 0.6175, 0.0044)
O (0.6162, 0.8825, 0.5044)
O (0.6702, 0.6043, 0.3223)
O (0.6702, 0.8957, 0.8223)
O (0.7165, 0.6037, 0.6923)
O (0.7165, 0.8963, 0.1923)
O (0.7835, 0.1037, 0.6923)
O (0.7835, 0.3963, 0.1923)
O (0.8298, 0.1043, 0.3223)
O (0.8298, 0.3957, 0.8223)
O (0.8838, 0.1175, 0.0044)
O (0.8838, 0.3825, 0.5044)

Peak list (10 most intense, 10 to 90 degrees two-theta, in order of rising 2θ)
2theta  d_spacing  Rel. int.  (hkl)
18.83  4.712  100  0 2 0
20.23  4.390  26  0 0 2
21.90  4.059  71  1 1 1
27.77  3.212  19  0 2 2
35.58  2.523  19  2 1 0
40.15  2.246  66  1 2 3
45.78  1.982  41  1 3 3
52.23  1.751  18  2 4 0
61.10  1.517  22  1 5 3
62.75  1.481  24  3 1 3

Entry 3:
The following is a computed powder XRD pattern of AlH3O3. It was derived from a structure optimized by DFT (GGA-PBE), using Cu Kα (weighted mean of Kα1 and Kα2).
Neutral-atom scattering factors, no anomalous dispersion.

Structural model:
abc: 4.9938 5.0201 5.2270
angles: 96.35 105.93 116.09
Fractional positions:
Al (0.1694, 0.3213, 0.4946)
Al (0.8306, 0.6787, 0.5054)
H (0.1117, 0.6693, 0.1675)
H (0.2888, 0.1445, 0.9117)
H (0.4931, 0.1443, 0.3033)
H (0.5069, 0.8557, 0.6967)
H (0.7112, 0.8555, 0.0883)
H (0.8883, 0.3307, 0.8325)
O (0.0250, 0.5524, 0.2885)
O (0.2264, 0.0591, 0.7115)
O (0.4198, 0.2966, 0.2863)
O (0.5802, 0.7034, 0.7137)
O (0.7736, 0.9409, 0.2885)
O (0.9750, 0.4476, 0.7115)

Peak list (10 most intense, 10 to 90 degrees two-theta, in order of rising 2θ)
2theta  d_spacing  Rel. int.  (hkl)
18.32  4.843  100  0 0 1
21.03  4.225  16  1 -1 0
21.25  4.181  14  1 0 0
22.51  3.950  14  1 0 -1
36.43  2.466  29  1 1 0
37.09  2.424  16  -2 1 1
39.09  2.304  24  1 -2 1
45.53  1.992  28  -2 1 2
47.07  1.931  25  1 1 1
50.05  1.823  19  1 -2 2